Entry 1:
For Pm4Mg5Si6, a GGA-PBE-relaxed structure gives the computed powder diffraction line list in this record (a wavelength of 1.5418 Å).

Principal peaks in the range 2θ = 15–90°, sorted by position:
d = 4.304 Å, 20.63°, intensity 77; d = 3.587 Å, 24.82°, intensity 36; d = 3.323 Å, 26.83°, intensity 50; d = 2.996 Å, 29.82°, intensity 31; d = 2.938 Å, 30.43°, intensity 39; d = 2.902 Å, 30.81°, intensity 65; d = 2.888 Å, 30.97°, intensity 44; d = 2.678 Å, 33.46°, intensity 33; d = 2.562 Å, 35.02°, intensity 100; d = 2.206 Å, 40.92°, intensity 47

Structural model:
```
30
Lattice="2.206 -9.846 0.000 2.206 9.846 0.000 0.000 0.000 15.714" Properties=species:S:1:pos:R:3 pbc="T T T"
Pm 2.206 9.588 7.857
Pm 2.206 9.178 11.981
Pm 2.206 6.638 4.722
Pm 2.206 6.415 14.780
Pm 2.206 -6.415 6.922
Pm 2.206 -6.638 12.580
Pm 2.206 -9.178 4.124
Pm 2.206 -9.588 0.000
Mg 2.206 6.775 9.762
Mg 2.206 3.869 9.700
Mg 2.206 3.177 4.195
Mg 2.206 2.966 15.340
Mg 2.206 1.129 10.520
Mg 2.206 -1.129 2.662
Mg 2.206 -2.966 7.483
Mg 2.206 -3.177 12.052
Mg 2.206 -3.869 1.843
Mg 2.206 -6.775 1.905
Si 2.206 7.628 1.837
Si 2.206 5.376 7.461
Si 2.206 5.239 12.019
Si 2.206 1.434 1.970
Si 2.206 1.276 6.267
Si 2.206 1.020 13.368
Si 2.206 -1.020 5.510
Si 2.206 -1.276 14.125
Si 2.206 -1.434 9.827
Si 2.206 -5.239 4.162
Si 2.206 -5.376 15.318
Si 2.206 -7.628 9.695
```

Entry 2:
For Bi3S4Cl, a GGA-PBE-relaxed structure gives the computed powder diffraction line list in this record (a wavelength of 1.5418 Å).

Principal peaks in the range 2θ = 15–90°, sorted by position:
d = 4.918 Å, 18.04°, intensity 47; d = 4.143 Å, 21.45°, intensity 42; d = 3.791 Å, 23.46°, intensity 49; d = 3.566 Å, 24.97°, intensity 37; d = 3.534 Å, 25.20°, intensity 26; d = 3.409 Å, 26.14°, intensity 68; d = 2.512 Å, 35.75°, intensity 100; d = 2.397 Å, 37.52°, intensity 46; d = 2.027 Å, 44.71°, intensity 34; d = 1.939 Å, 46.85°, intensity 22

Structural model:
```
16
Lattice="7.440 -3.566 0.000 7.440 3.566 0.000 -4.405 0.000 9.229" Properties=species:S:1:pos:R:3 pbc="T T T"
Bi 5.238 3.473 4.615
Bi 1.553 0.093 3.780
Bi -0.649 -0.093 8.394
Bi 6.180 0.110 6.498
Bi 8.383 -0.110 1.883
Bi 7.440 -3.473 0.000
S -0.090 1.170 5.978
S 4.626 2.444 7.049
S 2.113 -1.170 1.364
S 6.887 1.380 4.245
S 8.114 1.226 7.929
S 4.684 -1.380 8.859
S 6.829 -2.444 2.434
S 10.316 -1.226 3.314
Cl 6.023 1.112 0.460
Cl 3.821 -1.112 5.074
```

Entry 3:
For Ge2BiRhS, a GGA-PBE-relaxed structure gives the computed powder diffraction line list in this record (a wavelength of 1.5418 Å).

Principal peaks in the range 2θ = 15–90°, sorted by position:
d = 4.616 Å, 19.23°, intensity 100; d = 3.264 Å, 27.32°, intensity 22; d = 2.874 Å, 31.12°, intensity 50; d = 2.838 Å, 31.52°, intensity 64; d = 2.440 Å, 36.84°, intensity 41; d = 2.308 Å, 39.03°, intensity 54; d = 2.064 Å, 43.86°, intensity 25; d = 1.799 Å, 50.73°, intensity 51; d = 1.677 Å, 54.75°, intensity 27; d = 1.419 Å, 65.81°, intensity 23

Structural model:
```
5
Lattice="4.616 0.000 0.000 0.000 4.616 0.000 0.000 0.000 5.747" Properties=species:S:1:pos:R:3 pbc="T T T"
Ge 0.000 2.308 0.000
Ge 2.308 0.000 0.000
Bi 0.000 0.000 2.874
Rh 0.000 0.000 0.000
S 2.308 2.308 2.874
```